No. 1
Computed powder X-ray diffraction pattern of LiFePO4 for Cu Kα (weighted mean of Kα1 and Kα2), from a DFT-relaxed cell (GGA+U, the Materials Project).

Principal peaks in the range 2θ = 15–90°, in order of rising 2θ:
d (Å), I/Imax
4.530, 78
4.417, 100
4.123, 92
3.971, 28
3.893, 29
3.196, 35
3.014, 34
2.612, 57
2.474, 58
1.823, 31

Atomic structure:
```
LiFePO4
1.0
8.247 0.000 0.000
0.000 5.058 0.000
-0.005 0.000 9.060
Li Fe P O
4 4 4 16
direct
0.057 0.000 0.102
0.443 0.500 0.602
0.557 0.000 0.398
0.943 0.500 0.898
0.159 0.103 0.531
0.341 0.603 0.030
0.659 0.103 0.970
0.841 0.603 0.469
0.231 0.656 0.362
0.269 0.156 0.863
0.731 0.656 0.137
0.769 0.156 0.638
0.072 0.762 0.439
0.130 0.285 0.953
0.224 0.761 0.201
0.243 0.354 0.366
0.257 0.853 0.866
0.276 0.261 0.701
0.370 0.785 0.453
0.428 0.261 0.940
0.572 0.761 0.060
0.630 0.285 0.547
0.724 0.761 0.299
0.743 0.353 0.134
0.757 0.854 0.634
0.776 0.261 0.799
0.870 0.785 0.047
0.928 0.262 0.561
```



No. 2
Computed powder X-ray diffraction pattern of Li2FeP2O8 for Cu Kα (weighted mean of Kα1 and Kα2), from a DFT-relaxed cell (GGA+U, the Materials Project).

Principal peaks in the range 2θ = 15–90°, in order of rising 2θ:
d (Å), I/Imax
4.164, 59
4.123, 62
4.041, 100
4.013, 53
3.788, 38
3.727, 38
2.800, 35
2.775, 43
2.680, 52
2.558, 64

Atomic structure:
```
Li2FeP2O8
1.0
8.265 0.000 0.000
-1.985 8.083 0.000
-0.233 -0.124 10.724
Li Fe P O
8 4 8 32
direct
0.000 0.000 0.000
0.001 0.509 0.847
0.030 0.069 0.513
0.548 0.061 0.332
0.840 0.615 0.592
0.863 0.128 0.240
0.931 0.187 0.746
0.941 0.687 0.120
0.292 0.811 0.514
0.295 0.324 0.339
0.484 0.499 0.011
0.484 0.997 0.835
0.103 0.876 0.755
0.108 0.378 0.089
0.155 0.454 0.582
0.164 0.964 0.272
0.625 0.366 0.769
0.630 0.867 0.082
0.671 0.432 0.259
0.673 0.934 0.589
0.008 0.513 0.524
0.028 0.031 0.334
0.033 0.516 0.034
0.034 0.014 0.812
0.111 0.390 0.714
0.118 0.902 0.139
0.155 0.920 0.614
0.161 0.416 0.229
0.197 0.310 0.501
0.214 0.823 0.350
0.265 0.368 0.013
0.266 0.864 0.828
0.312 0.605 0.580
0.327 0.113 0.279
0.481 0.207 0.772
0.483 0.709 0.076
0.515 0.453 0.332
0.517 0.952 0.507
0.576 0.499 0.852
0.580 0.997 0.994
0.616 0.907 0.726
0.621 0.406 0.117
0.655 0.945 0.213
0.656 0.433 0.636
0.723 0.275 0.301
0.735 0.786 0.544
0.790 0.328 0.816
0.790 0.824 0.038
0.814 0.587 0.272
0.817 0.089 0.579
0.980 0.708 0.757
0.982 0.209 0.080
```



No. 3
Computed powder X-ray diffraction pattern of Li2Fe3P4O14 for Cu Kα (weighted mean of Kα1 and Kα2), from a DFT-relaxed cell (GGA+U, the Materials Project).

Principal peaks in the range 2θ = 15–90°, in order of rising 2θ:
d (Å), I/Imax
5.197, 30
3.456, 84
3.232, 29
3.000, 100
2.785, 50
2.773, 59
2.696, 55
2.601, 32
2.213, 37
1.650, 26

Atomic structure:
```
Li2Fe3P4O14
1.0
5.612 0.000 0.000
2.591 6.411 0.000
1.036 1.625 7.167
Li Fe P O
2 3 4 14
direct
0.128 0.014 0.189
0.872 0.986 0.811
0.310 0.482 0.190
0.500 0.000 0.500
0.690 0.518 0.810
0.151 0.683 0.570
0.301 0.260 0.847
0.699 0.740 0.153
0.849 0.317 0.430
0.048 0.248 0.948
0.133 0.227 0.357
0.180 0.711 0.358
0.239 0.430 0.646
0.327 0.767 0.646
0.435 0.352 0.956
0.480 0.060 0.782
0.520 0.940 0.218
0.565 0.648 0.044
0.673 0.233 0.354
0.761 0.570 0.354
0.820 0.289 0.642
0.867 0.773 0.643
0.952 0.752 0.052
```



No. 4
Computed powder X-ray diffraction pattern of Li2FeP2O8 for Cu Kα (weighted mean of Kα1 and Kα2), from a DFT-relaxed cell (GGA+U, the Materials Project).

Principal peaks in the range 2θ = 15–90°, in order of rising 2θ:
d (Å), I/Imax
3.692, 100
3.548, 50
2.955, 12
2.758, 30
2.535, 36
2.382, 22
1.966, 9
1.740, 13
1.588, 9
1.538, 9

Atomic structure:
```
Li2FeP2O8
1.0
4.551 -2.364 0.000
4.551 2.364 0.000
-2.005 0.000 13.832
Li Fe P O
4 2 4 16
direct
0.019 0.981 0.500
0.634 0.700 0.905
0.700 0.634 0.405
0.981 0.019 0.000
0.639 0.670 0.170
0.670 0.639 0.670
0.010 0.990 0.278
0.310 0.329 0.047
0.329 0.310 0.547
0.990 0.010 0.778
0.103 0.433 0.630
0.127 0.536 0.465
0.165 0.868 0.873
0.221 0.877 0.695
0.326 0.624 0.077
0.383 0.818 0.287
0.433 0.103 0.130
0.451 0.955 0.523
0.536 0.127 0.965
0.624 0.326 0.577
0.722 0.954 0.749
0.818 0.383 0.787
0.868 0.165 0.373
0.877 0.221 0.195
0.954 0.722 0.249
0.955 0.451 0.023
```



No. 5
Computed powder X-ray diffraction pattern of LiFe2P2O8 for Cu Kα (weighted mean of Kα1 and Kα2), from a DFT-relaxed cell (GGA+U, the Materials Project).

Principal peaks in the range 2θ = 15–90°, in order of rising 2θ:
d (Å), I/Imax
4.148, 100
3.449, 7
2.870, 7
2.586, 25
2.518, 8
2.212, 6
2.194, 9
2.113, 5
1.464, 5
1.409, 5

Atomic structure:
```
LiFe2P2O8
1.0
10.335 0.000 0.000
0.000 5.176 0.000
0.000 0.000 13.893
Li Fe P O
4 8 8 32
direct
0.223 0.052 0.000
0.277 0.052 0.500
0.723 0.948 0.000
0.777 0.948 0.500
0.037 0.562 0.004
0.224 0.058 0.250
0.276 0.058 0.750
0.463 0.562 0.504
0.537 0.438 0.004
0.724 0.942 0.250
0.776 0.942 0.750
0.963 0.438 0.504
0.030 0.938 0.626
0.216 0.555 0.379
0.284 0.555 0.879
0.470 0.938 0.126
0.530 0.062 0.626
0.716 0.445 0.379
0.784 0.445 0.879
0.970 0.062 0.126
0.008 0.644 0.609
0.033 0.981 0.221
0.039 0.922 0.038
0.072 0.493 0.400
0.176 0.998 0.623
0.206 0.437 0.968
0.244 0.427 0.786
0.244 0.849 0.380
0.256 0.427 0.286
0.256 0.849 0.880
0.294 0.437 0.468
0.324 0.998 0.123
0.428 0.493 0.900
0.461 0.922 0.538
0.467 0.981 0.721
0.492 0.644 0.109
0.508 0.356 0.609
0.533 0.019 0.221
0.539 0.078 0.038
0.572 0.507 0.400
0.676 0.002 0.623
0.706 0.563 0.968
0.744 0.151 0.380
0.744 0.573 0.786
0.756 0.151 0.880
0.756 0.573 0.286
0.794 0.563 0.468
0.824 0.002 0.123
0.928 0.507 0.900
0.961 0.078 0.538
0.967 0.019 0.721
0.992 0.356 0.109
```